No. 1
Simulated powder diffractogram
Compound: RbBr
Radiation: Cu Kα X-rays
Structure: a GGA-PBE-relaxed structure

Peak list (8 most intense, 2θ from 10° to 90°, by angle)
| 2theta | d (Å) | intensity |
| --- | --- | --- |
| 25.3 | 3.514 | 100 |
| 36.1 | 2.485 | 77 |
| 44.7 | 2.029 | 28 |
| 52.1 | 1.757 | 13 |
| 58.8 | 1.571 | 37 |
| 65.0 | 1.435 | 27 |
| 82.3 | 1.171 | 18 |
| 87.9 | 1.111 | 12 |

Crystal structure
abc: 7.028 7.028 7.028
angles: 90.00 90.00 90.00
Fractional positions:
Rb 0.000 0.000 0.000
Rb 0.000 0.500 0.500
Rb 0.500 0.000 0.500
Rb 0.500 0.500 0.000
Br 0.000 0.000 0.500
Br 0.000 0.500 0.000
Br 0.500 0.000 0.000
Br 0.500 0.500 0.500


No. 2
Simulated powder diffractogram
Compound: RbScBr3
Radiation: Cu Kα X-rays
Structure: a GGA-PBE-relaxed structure

Peak list (8 most intense, 2θ from 10° to 90°, by angle)
| 2theta | d (Å) | intensity |
| --- | --- | --- |
| 28.7 | 3.107 | 18 |
| 29.8 | 2.995 | 100 |
| 39.2 | 2.299 | 25 |
| 46.0 | 1.974 | 25 |
| 51.6 | 1.772 | 21 |
| 55.1 | 1.666 | 17 |
| 55.8 | 1.648 | 16 |
| 75.1 | 1.265 | 14 |

Crystal structure
abc: 7.894 7.894 6.215
angles: 90.00 90.00 120.00
Fractional positions:
Rb 0.333 0.667 0.250
Rb 0.667 0.333 0.750
Sc 0.000 0.000 0.000
Sc 0.000 0.000 0.500
Br 0.167 0.333 0.750
Br 0.167 0.833 0.750
Br 0.333 0.167 0.250
Br 0.667 0.833 0.750
Br 0.833 0.167 0.250
Br 0.833 0.667 0.250


No. 3
Simulated powder diffractogram
Compound: Rb2ScTlBr6
Radiation: Cu Kα X-rays
Structure: a GGA-PBE-relaxed structure

Peak list (8 most intense, 2θ from 10° to 90°, by angle)
| 2theta | d (Å) | intensity |
| --- | --- | --- |
| 15.2 | 5.842 | 41 |
| 21.5 | 4.131 | 43 |
| 25.3 | 3.523 | 25 |
| 26.4 | 3.373 | 41 |
| 30.6 | 2.921 | 100 |
| 33.4 | 2.681 | 28 |
| 43.8 | 2.066 | 69 |
| 72.3 | 1.306 | 26 |

Crystal structure
abc: 8.262 8.262 8.262
angles: 60.00 60.00 60.00
Fractional positions:
Rb 0.250 0.250 0.250
Rb 0.750 0.750 0.750
Sc 0.000 0.000 0.000
Tl 0.500 0.500 0.500
Br 0.228 0.228 0.772
Br 0.228 0.772 0.228
Br 0.228 0.772 0.772
Br 0.772 0.228 0.228
Br 0.772 0.228 0.772
Br 0.772 0.772 0.228


No. 4
Simulated powder diffractogram
Compound: Rb2SmBr5
Radiation: Cu Kα X-rays
Structure: a GGA-PBE-relaxed structure

Peak list (8 most intense, 2θ from 10° to 90°, by angle)
| 2theta | d (Å) | intensity |
| --- | --- | --- |
| 11.8 | 7.481 | 52 |
| 27.2 | 3.284 | 65 |
| 28.6 | 3.121 | 95 |
| 28.8 | 3.100 | 72 |
| 30.7 | 2.916 | 58 |
| 31.8 | 2.818 | 39 |
| 34.4 | 2.605 | 40 |
| 38.6 | 2.331 | 100 |

Crystal structure
abc: 14.157 9.312 8.811
angles: 90.00 90.00 90.00
Fractional positions:
Rb 0.172 0.004 0.054
Rb 0.172 0.496 0.054
Rb 0.328 0.504 0.554
Rb 0.328 0.996 0.554
Rb 0.672 0.004 0.446
Rb 0.672 0.496 0.446
Rb 0.828 0.504 0.946
Rb 0.828 0.996 0.946
Sm 0.004 0.250 0.574
Sm 0.496 0.750 0.074
Sm 0.504 0.250 0.926
Sm 0.996 0.750 0.426
Br 0.011 0.250 0.908
Br 0.072 0.543 0.660
Br 0.072 0.957 0.660
Br 0.172 0.250 0.383
Br 0.196 0.750 0.344
Br 0.304 0.250 0.844
Br 0.328 0.750 0.883
Br 0.428 0.043 0.160
Br 0.428 0.457 0.160
Br 0.489 0.750 0.408
Br 0.511 0.250 0.592
Br 0.572 0.543 0.840
Br 0.572 0.957 0.840
Br 0.672 0.250 0.117
Br 0.696 0.750 0.156
Br 0.804 0.250 0.656
Br 0.828 0.750 0.617
Br 0.928 0.043 0.340
Br 0.928 0.457 0.340
Br 0.989 0.750 0.092


No. 5
Simulated powder diffractogram
Compound: RbSm2Br5
Radiation: Cu Kα X-rays
Structure: a GGA-PBE-relaxed structure

Peak list (8 most intense, 2θ from 10° to 90°, by angle)
| 2theta | d (Å) | intensity |
| --- | --- | --- |
| 22.5 | 3.955 | 45 |
| 27.5 | 3.242 | 59 |
| 29.6 | 3.021 | 56 |
| 30.0 | 2.979 | 65 |
| 30.4 | 2.938 | 100 |
| 31.0 | 2.885 | 74 |
| 31.9 | 2.805 | 38 |
| 35.1 | 2.559 | 40 |

Crystal structure
abc: 10.273 7.308 14.171
angles: 90.00 94.55 90.00
Fractional positions:
Rb 0.001 0.085 0.339
Rb 0.001 0.415 0.839
Rb 0.999 0.585 0.161
Rb 0.999 0.915 0.661
Sm 0.329 0.025 0.989
Sm 0.329 0.475 0.489
Sm 0.490 0.618 0.153
Sm 0.490 0.882 0.653
Sm 0.510 0.118 0.347
Sm 0.510 0.382 0.847
Sm 0.671 0.525 0.511
Sm 0.671 0.975 0.011
Br 0.082 0.659 0.415
Br 0.082 0.841 0.915
Br 0.268 0.642 0.670
Br 0.268 0.858 0.170
Br 0.280 0.166 0.784
Br 0.280 0.334 0.284
Br 0.308 0.058 0.493
Br 0.308 0.442 0.993
Br 0.475 0.701 0.361
Br 0.475 0.799 0.861
Br 0.525 0.201 0.139
Br 0.525 0.299 0.639
Br 0.692 0.558 0.007
Br 0.692 0.942 0.507
Br 0.720 0.666 0.716
Br 0.720 0.834 0.216
Br 0.732 0.142 0.830
Br 0.732 0.358 0.330
Br 0.918 0.159 0.085
Br 0.918 0.341 0.585


No. 6
Simulated powder diffractogram
Compound: RbSr2Br5
Radiation: Cu Kα X-rays
Structure: a GGA-PBE-relaxed structure

Peak list (8 most intense, 2θ from 10° to 90°, by angle)
| 2theta | d (Å) | intensity |
| --- | --- | --- |
| 25.1 | 3.551 | 49 |
| 28.2 | 3.161 | 46 |
| 28.9 | 3.094 | 67 |
| 29.1 | 3.068 | 45 |
| 31.1 | 2.876 | 100 |
| 32.3 | 2.769 | 62 |
| 37.5 | 2.399 | 33 |
| 37.7 | 2.388 | 47 |

Crystal structure
abc: 9.554 8.484 13.624
angles: 90.00 90.21 90.00
Fractional positions:
Rb 0.006 0.039 0.329
Rb 0.006 0.461 0.829
Rb 0.994 0.539 0.171
Rb 0.994 0.961 0.671
Sr 0.255 0.566 0.495
Sr 0.255 0.934 0.995
Sr 0.499 0.521 0.178
Sr 0.499 0.979 0.678
Sr 0.501 0.021 0.322
Sr 0.501 0.479 0.822
Sr 0.745 0.066 0.005
Sr 0.745 0.434 0.505
Br 0.034 0.165 0.086
Br 0.034 0.335 0.586
Br 0.276 0.694 0.712
Br 0.276 0.806 0.212
Br 0.287 0.167 0.818
Br 0.287 0.333 0.318
Br 0.288 0.550 0.996
Br 0.288 0.950 0.496
Br 0.461 0.159 0.103
Br 0.461 0.341 0.603
Br 0.539 0.659 0.397
Br 0.539 0.841 0.897
Br 0.712 0.050 0.504
Br 0.712 0.450 0.004
Br 0.713 0.667 0.682
Br 0.713 0.833 0.182
Br 0.724 0.194 0.788
Br 0.724 0.306 0.288
Br 0.966 0.665 0.414
Br 0.966 0.835 0.914


No. 7
Simulated powder diffractogram
Compound: Rb2TeBr6
Radiation: Cu Kα X-rays
Structure: a GGA-PBE-relaxed structure

Peak list (8 most intense, 2θ from 10° to 90°, by angle)
| 2theta | d (Å) | intensity |
| --- | --- | --- |
| 13.8 | 6.406 | 30 |
| 27.9 | 3.203 | 93 |
| 32.3 | 2.774 | 100 |
| 46.3 | 1.961 | 71 |
| 54.9 | 1.673 | 40 |
| 57.5 | 1.602 | 25 |
| 76.8 | 1.241 | 31 |
| 85.8 | 1.132 | 24 |

Crystal structure
abc: 7.846 7.846 7.846
angles: 60.00 60.00 60.00
Fractional positions:
Rb 0.250 0.250 0.250
Rb 0.750 0.750 0.750
Te 0.000 0.000 0.000
Br 0.246 0.246 0.754
Br 0.246 0.754 0.246
Br 0.246 0.754 0.754
Br 0.754 0.246 0.246
Br 0.754 0.246 0.754
Br 0.754 0.754 0.246


No. 8
Simulated powder diffractogram
Compound: Rb2TeBr6
Radiation: Cu Kα X-rays
Structure: a GGA-PBE-relaxed structure

Peak list (8 most intense, 2θ from 10° to 90°, by angle)
| 2theta | d (Å) | intensity |
| --- | --- | --- |
| 13.8 | 6.422 | 35 |
| 27.8 | 3.211 | 100 |
| 31.9 | 2.807 | 38 |
| 32.3 | 2.768 | 70 |
| 46.1 | 1.971 | 50 |
| 46.4 | 1.957 | 23 |
| 54.9 | 1.671 | 24 |
| 57.4 | 1.605 | 24 |

Crystal structure
abc: 7.884 7.884 7.884
angles: 120.46 120.46 89.20
Fractional positions:
Rb 0.250 0.750 0.500
Rb 0.750 0.250 0.500
Te 0.000 0.000 0.000
Br 0.225 0.267 0.493
Br 0.244 0.244 0.000
Br 0.267 0.775 0.042
Br 0.733 0.225 0.958
Br 0.756 0.756 0.000
Br 0.775 0.733 0.507


No. 9
Simulated powder diffractogram
Compound: RbTiBr3
Radiation: Cu Kα X-rays
Structure: a GGA-PBE-relaxed structure

Peak list (8 most intense, 2θ from 10° to 90°, by angle)
| 2theta | d (Å) | intensity |
| --- | --- | --- |
| 13.0 | 6.793 | 13 |
| 30.3 | 2.954 | 16 |
| 30.4 | 2.945 | 100 |
| 40.5 | 2.229 | 25 |
| 46.3 | 1.961 | 26 |
| 53.8 | 1.704 | 19 |
| 56.3 | 1.633 | 33 |
| 75.8 | 1.254 | 14 |

Crystal structure
abc: 7.844 7.844 5.908
angles: 90.00 90.00 120.00
Fractional positions:
Rb 0.333 0.667 0.250
Rb 0.667 0.333 0.750
Ti 0.000 0.000 0.000
Ti 0.000 0.000 0.500
Br 0.164 0.329 0.750
Br 0.164 0.836 0.750
Br 0.329 0.164 0.250
Br 0.671 0.836 0.750
Br 0.836 0.164 0.250
Br 0.836 0.671 0.250


No. 10
Simulated powder diffractogram
Compound: Rb3TlBr6
Radiation: Cu Kα X-rays
Structure: a GGA-PBE-relaxed structure

Peak list (8 most intense, 2θ from 10° to 90°, by angle)
| 2theta | d (Å) | intensity |
| --- | --- | --- |
| 12.7 | 6.958 | 32 |
| 14.7 | 6.026 | 48 |
| 20.8 | 4.261 | 50 |
| 25.6 | 3.479 | 31 |
| 29.7 | 3.013 | 100 |
| 42.4 | 2.130 | 71 |
| 52.6 | 1.739 | 24 |
| 69.8 | 1.347 | 29 |

Crystal structure
abc: 8.522 8.522 8.522
angles: 60.00 60.00 60.00
Fractional positions:
Rb 0.000 0.000 0.000
Rb 0.250 0.250 0.250
Rb 0.750 0.750 0.750
Tl 0.500 0.500 0.500
Br 0.269 0.269 0.731
Br 0.269 0.731 0.269
Br 0.269 0.731 0.731
Br 0.731 0.269 0.269
Br 0.731 0.269 0.731
Br 0.731 0.731 0.269


No. 11
Simulated powder diffractogram
Compound: RbTlBr3
Radiation: Cu Kα X-rays
Structure: a GGA-PBE-relaxed structure

Peak list (8 most intense, 2θ from 10° to 90°, by angle)
| 2theta | d (Å) | intensity |
| --- | --- | --- |
| 15.0 | 5.900 | 72 |
| 21.3 | 4.172 | 71 |
| 30.3 | 2.950 | 100 |
| 34.0 | 2.639 | 39 |
| 37.3 | 2.409 | 33 |
| 43.4 | 2.086 | 73 |
| 53.8 | 1.703 | 25 |
| 71.5 | 1.319 | 32 |

Crystal structure
abc: 8.344 8.344 8.344
angles: 60.00 60.00 60.00
Fractional positions:
Rb 0.250 0.250 0.250
Rb 0.750 0.750 0.750
Tl 0.000 0.000 0.000
Tl 0.500 0.500 0.500
Br 0.238 0.238 0.762
Br 0.238 0.762 0.238
Br 0.238 0.762 0.762
Br 0.762 0.238 0.238
Br 0.762 0.238 0.762
Br 0.762 0.762 0.238


No. 12
Simulated powder diffractogram
Compound: RbTlBr3
Radiation: Cu Kα X-rays
Structure: a GGA-PBE-relaxed structure

Peak list (8 most intense, 2θ from 10° to 90°, by angle)
| 2theta | d (Å) | intensity |
| --- | --- | --- |
| 15.2 | 5.835 | 71 |
| 21.5 | 4.126 | 69 |
| 30.6 | 2.918 | 100 |
| 34.4 | 2.610 | 40 |
| 37.8 | 2.382 | 34 |
| 43.9 | 2.063 | 74 |
| 54.5 | 1.684 | 26 |
| 72.4 | 1.305 | 33 |

Crystal structure
abc: 8.253 8.254 5.833
angles: 90.00 90.05 90.00
Fractional positions:
Rb 0.000 0.000 0.000
Rb 0.500 0.500 0.000
Tl 0.002 0.500 0.516
Tl 0.502 0.000 0.516
Br 0.250 0.252 0.514
Br 0.250 0.748 0.514
Br 0.489 0.000 0.015
Br 0.750 0.248 0.514
Br 0.750 0.752 0.514
Br 0.989 0.500 0.015